[1]
Computed X-ray diffraction stick pattern of La12Sn5S28 for a wavelength of 1.5418 Å, from a PBE-relaxed structure.
Lines closer than 0.1° are merged.

Main lines, sorted by position (10° ≤ 2θ ≤ 80°):
- 2θ 19.75, intensity 28, hkl 2 2 2
- 2θ 22.54, intensity 19, hkl 1 1 3
- 2θ 24.65, intensity 100, hkl 2 1 3
- 2θ 29.44, intensity 18, hkl 0 2 -2
- 2θ 34.57, intensity 47, hkl 4 2 2
- 2θ 35.71, intensity 36, hkl 2 4 0
- 2θ 36.03, intensity 21, hkl -3 1 1
- 2θ 39.06, intensity 19, hkl -1 2 4
- 2θ 39.84, intensity 16, hkl 3 0 4
- 2θ 48.79, intensity 15, hkl 1 6 4

Cell and atoms:
Lattice parameters (Å, degrees): 10.3847 12.0181 12.0211 60.64 64.42 64.41
Space group P1 (No. 1)
Unique sites:
La1 0.0000 0.0000 0.0000 x1
La2 0.0031 0.4917 0.5249 x1
La3 0.0841 0.7196 0.7201 x1
La4 0.0980 0.1929 0.2261 x1
La5 0.2135 0.0615 0.5945 x1
La6 0.2353 0.5729 0.0740 x1
La7 0.5027 0.4452 0.4777 x1
La8 0.5222 0.9574 0.9580 x1
La9 0.6418 0.8262 0.3271 x1
La10 0.6525 0.2981 0.8315 x1
La11 0.7290 0.5286 0.0302 x1
La12 0.7393 0.0180 0.5509 x1
Sn1 0.1994 0.8389 0.2808 x1
Sn2 0.2044 0.3365 0.7811 x1
Sn3 0.5339 0.7586 0.6960 x1
Sn4 0.5368 0.2539 0.1947 x1
Sn5 0.8685 0.4954 0.2899 x1
S1 0.0158 0.4877 0.0560 x1
S2 0.0309 0.9925 0.5300 x1
S3 0.1120 0.3348 0.3598 x1
S4 0.1311 0.8202 0.8639 x1
S5 0.2010 0.6441 0.4771 x1
S6 0.2027 0.1409 0.9752 x1
S7 0.2902 0.2998 0.5750 x1
S8 0.2939 0.8019 0.0755 x1
S9 0.3481 0.4718 0.7447 x1
S10 0.3597 0.9629 0.2377 x1
S11 0.3827 0.2955 0.0663 x1
S12 0.3857 0.7938 0.5654 x1
S13 0.4427 0.9628 0.7328 x1
S14 0.4449 0.4602 0.2327 x1
S15 0.5308 0.0655 0.3969 x1
S16 0.5396 0.5563 0.8850 x1
S17 0.6060 0.1737 0.7116 x1
S18 0.6265 0.6563 0.2243 x1
S19 0.7071 0.0029 0.0455 x1
S20 0.7158 0.5019 0.5274 x1
S21 0.7670 0.7905 0.8338 x1
S22 0.7775 0.3036 0.3290 x1
S23 0.7773 0.7643 0.5363 x1
S24 0.7782 0.2656 0.0362 x1
S25 0.9566 0.9964 0.2689 x1
S26 0.9632 0.5007 0.7761 x1
S27 0.9632 0.6827 0.2504 x1
S28 0.9678 0.2047 0.7433 x1

[2]
Computed X-ray diffraction stick pattern of HoP2Pd2 for a wavelength of 1.5418 Å, from a PBE-relaxed structure.
Lines closer than 0.1° are merged.

Main lines, sorted by position (10° ≤ 2θ ≤ 80°):
- 2θ 23.55, intensity 25, hkl 1 0 1
- 2θ 34.95, intensity 26, hkl 1 0 3
- 2θ 35.99, intensity 100, hkl 1 1 2
- 2θ 36.30, intensity 17, hkl 0 0 4
- 2θ 44.33, intensity 35, hkl 2 0 0
- 2θ 51.27, intensity 11, hkl 1 0 5
- 2θ 57.66, intensity 12, hkl 2 1 3
- 2θ 58.58, intensity 17, hkl 2 0 4
- 2θ 65.10, intensity 14, hkl 1 1 6
- 2θ 76.13, intensity 22, hkl 3 1 2

Cell and atoms:
Lattice parameters (Å, degrees): 4.0868 4.0868 9.8998 90.00 90.00 90.00
Space group I4/mmm (No. 139)
Unique sites:
Ho1 0.0000 0.0000 0.0000 x2
P1 0.0000 0.0000 0.3894 x4
Pd1 0.0000 0.5000 0.2500 x4

[3]
Computed X-ray diffraction stick pattern of Tm2Ge6Pd for a wavelength of 1.5418 Å, from a PBE-relaxed structure.
Lines closer than 0.1° are merged.

Main lines, sorted by position (10° ≤ 2θ ≤ 80°):
- 2θ 32.77, intensity 12, hkl 0 0 8
- 2θ 33.01, intensity 24, hkl 1 0 6
- 2θ 33.64, intensity 100, hkl 1 1 3
- 2θ 37.56, intensity 17, hkl 1 1 5
- 2θ 42.86, intensity 16, hkl 1 1 7
- 2θ 43.50, intensity 18, hkl 0 1 9
- 2θ 44.56, intensity 23, hkl 2 0 0
- 2θ 45.00, intensity 22, hkl 0 2 0
- 2θ 64.03, intensity 12, hkl 2 1 9
- 2θ 65.19, intensity 15, hkl 2 2 0

Cell and atoms:
Lattice parameters (Å, degrees): 4.0669 4.0291 21.8613 90.00 90.00 90.00
Space group Amm2 (No. 38)
Unique sites:
Tm1 0.0000 0.0000 0.0000 x2
Tm2 0.0000 0.0000 0.3414 x2
Ge1 0.0000 0.0000 0.6012 x2
Ge2 0.0000 0.0000 0.7158 x2
Ge3 0.5000 0.0000 0.0997 x2
Ge4 0.5000 0.0000 0.2145 x2
Ge5 0.5000 0.0000 0.4657 x2
Ge6 0.5000 0.0000 0.8931 x2
Pd1 0.5000 0.0000 0.7823 x2

[4]
Computed X-ray diffraction stick pattern of TlSn2I5 for a wavelength of 1.5418 Å, from a PBE-relaxed structure.
Lines closer than 0.1° are merged.

Main lines, sorted by position (10° ≤ 2θ ≤ 80°):
- 2θ 26.64, intensity 36, hkl 1 1 4
- 2θ 28.14, intensity 100, hkl 2 1 3
- 2θ 28.44, intensity 22, hkl 2 2 0
- 2θ 30.27, intensity 28, hkl 2 0 4
- 2θ 31.89, intensity 72, hkl 3 1 0
- 2θ 36.31, intensity 23, hkl 2 1 5
- 2θ 45.52, intensity 23, hkl 4 1 3
- 2θ 45.72, intensity 14, hkl 4 2 0
- 2θ 56.97, intensity 24, hkl 3 1 8
- 2θ 58.69, intensity 14, hkl 5 2 3

Cell and atoms:
Lattice parameters (Å, degrees): 8.8754 8.8754 15.8176 90.00 90.00 90.00
Space group I4/mcm (No. 140)
Unique sites:
Tl1 0.0000 0.0000 0.2500 x4
Sn1 0.1668 0.3332 0.0000 x8
I1 0.0000 0.0000 0.0000 x4
I2 0.1608 0.3392 0.3636 x16

[5]
Computed X-ray diffraction stick pattern of Rb4PS3O16 for a wavelength of 1.5418 Å, from a PBE-relaxed structure.
Lines closer than 0.1° are merged.

Main lines, sorted by position (10° ≤ 2θ ≤ 80°):
- 2θ 23.23, intensity 44, hkl 2 1 0
- 2θ 23.93, intensity 86, hkl 0 4 0
- 2θ 25.47, intensity 69, hkl 2 2 0
- 2θ 26.27, intensity 33, hkl 1 0 2
- 2θ 26.95, intensity 100, hkl 1 1 2
- 2θ 28.85, intensity 22, hkl 2 3 0
- 2θ 31.96, intensity 23, hkl 1 3 2
- 2θ 35.83, intensity 28, hkl 1 4 2
- 2θ 40.32, intensity 37, hkl 1 5 2
- 2θ 43.62, intensity 30, hkl 3 2 2

Cell and atoms:
Lattice parameters (Å, degrees): 7.9252 14.8769 7.5084 90.00 90.00 90.00
Space group P2_12_12 (No. 18)
Unique sites:
Rb1 0.0000 0.0000 0.0644 x2
Rb2 0.0000 0.5000 0.2317 x2
Rb3 0.1559 0.7581 0.6443 x4
P1 0.0000 0.5000 0.7305 x2
S1 0.0000 0.0000 0.5607 x2
S2 0.1554 0.7384 0.1464 x4
O1 0.0161 0.7034 0.2609 x4
O2 0.0635 0.0755 0.4488 x4
O3 0.0849 0.5686 0.6060 x4
O4 0.0886 0.8080 0.0235 x4
O5 0.1281 0.4555 0.8582 x4
O6 0.1374 0.9631 0.6750 x4
O7 0.2122 0.2805 0.7390 x4
O8 0.2304 0.6621 0.0456 x4